Starting from a crystal structure in Alexandria, relaxed with PBE, the powder X-ray diffraction pattern of AcMg2CuGe2 was computed for a wavelength of 1.5418 Å.
Lines closer than 0.1° are merged.

Cell and atoms:
abc: 8.2924 8.2924 8.2924
angles: 149.05 149.05 44.33
Fractional coordinates of all 6 atoms:
1 Ac 0.0000 0.0000 0.0000
2 Mg 0.2500 0.7500 0.5000
3 Mg 0.7500 0.2500 0.5000
4 Cu 0.5000 0.5000 0.0000
5 Ge 0.3535 0.3535 0.0000
6 Ge 0.6465 0.6465 0.0000

Main lines, most intense first (2θ from 15° to 90°):
two_theta	intensity
26.63	100.0
28.53	75.5
30.86	74.0
45.80	55.8
40.79	46.5
49.38	38.3
77.79	23.0
47.39	21.9
64.25	21.4
54.85	19.6

Starting from a crystal structure in Alexandria, relaxed with PBE, the powder X-ray diffraction pattern of Ac2MgCu3Ge4 was computed for a wavelength of 1.5418 Å.
Lines closer than 0.1° are merged.

Cell and atoms:
abc: 4.4024 4.4024 10.5668
angles: 90.00 90.00 90.00
Fractional coordinates of all 10 atoms:
1 Ac 0.0000 0.5000 0.2404
2 Ac 0.5000 0.0000 0.7596
3 Mg 0.0000 0.0000 0.5000
4 Cu 0.0000 0.5000 0.8800
5 Cu 0.5000 0.0000 0.1200
6 Cu 0.5000 0.5000 0.5000
7 Ge 0.0000 0.0000 0.0000
8 Ge 0.0000 0.5000 0.6433
9 Ge 0.5000 0.0000 0.3567
10 Ge 0.5000 0.5000 0.0000

Main lines, most intense first (2θ from 15° to 90°):
two_theta	intensity
33.41	100.0
32.56	78.1
41.00	54.1
53.31	39.1
28.68	34.4
47.74	31.3
21.87	29.1
64.71	25.1
69.87	23.7
59.38	17.9

Starting from a crystal structure in Alexandria, relaxed with PBE, the powder X-ray diffraction pattern of AcMgCuGe was computed for a wavelength of 1.5418 Å.
Lines closer than 0.1° are merged.

Cell and atoms:
abc: 5.1125 5.1125 5.1125
angles: 60.00 60.00 60.00
Fractional coordinates of all 4 atoms:
1 Ac 0.0000 0.0000 0.0000
2 Mg 0.5000 0.5000 0.5000
3 Cu 0.7500 0.7500 0.7500
4 Ge 0.2500 0.2500 0.2500

Main lines, most intense first (2θ from 15° to 90°):
two_theta	intensity
35.11	100.0
21.29	56.5
62.98	36.4
41.42	31.8
50.49	17.8
84.81	15.9
55.39	14.0
74.19	11.2
78.22	10.6
67.29	10.6

Starting from a crystal structure in Alexandria, relaxed with PBE, the powder X-ray diffraction pattern of AcCuGePd6 was computed for a wavelength of 1.5418 Å.
Lines closer than 0.1° are merged.

Cell and atoms:
abc: 8.1112 8.1112 8.1112
angles: 131.25 108.69 91.16
Fractional coordinates of all 18 atoms:
1 Ac 0.4135 0.1635 0.2500
2 Ac 0.5865 0.8365 0.7500
3 Cu 0.0000 0.0000 0.5000
4 Cu 0.0000 0.5000 0.0000
5 Ge 0.0000 0.5000 0.5000
6 Ge 0.5000 0.5000 0.0000
7 Pd 0.1152 0.3488 0.2049
8 Pd 0.1152 0.9102 0.7663
9 Pd 0.1643 0.9143 0.2500
10 Pd 0.3215 0.5715 0.7500
11 Pd 0.3561 0.0898 0.7049
12 Pd 0.3561 0.6512 0.2663
13 Pd 0.6439 0.3488 0.7337
14 Pd 0.6439 0.9102 0.2951
15 Pd 0.6785 0.4285 0.2500
16 Pd 0.8357 0.0857 0.7500
17 Pd 0.8848 0.0898 0.2337
18 Pd 0.8848 0.6512 0.7951

Main lines, most intense first (2θ from 15° to 90°):
two_theta	intensity
32.78	100.0
46.11	90.3
38.06	68.6
29.38	53.3
27.06	52.1
35.64	48.0
31.52	28.8
45.06	25.3
47.32	24.1
60.40	20.3

Starting from a crystal structure in Alexandria, relaxed with PBE, the powder X-ray diffraction pattern of AcPm2Cu2Ge2 was computed for a wavelength of 1.5418 Å.
Lines closer than 0.1° are merged.

Cell and atoms:
abc: 10.3773 10.3773 10.3773
angles: 24.41 24.41 24.41
Fractional coordinates of all 7 atoms:
1 Ac 0.0000 0.0000 0.0000
2 Pm 0.1284 0.1284 0.1284
3 Pm 0.8716 0.8716 0.8716
4 Cu 0.4077 0.4077 0.4077
5 Cu 0.5923 0.5923 0.5923
6 Ge 0.2588 0.2588 0.2588
7 Ge 0.7412 0.7412 0.7412

Main lines, most intense first (2θ from 15° to 90°):
two_theta	intensity
31.38	100.0
33.47	95.4
41.15	86.4
23.60	50.4
62.64	37.4
54.04	24.6
52.64	23.4
70.11	22.6
68.91	20.7
45.04	16.8

Starting from a crystal structure in Alexandria, relaxed with PBE, the powder X-ray diffraction pattern of AcTmCu2Ge2 was computed for a wavelength of 1.5418 Å.
Lines closer than 0.1° are merged.

Cell and atoms:
abc: 4.3293 4.3293 7.8090
angles: 90.00 90.00 120.00
Fractional coordinates of all 6 atoms:
1 Ac 0.0000 0.0000 0.0000
2 Tm 0.0000 0.0000 0.5000
3 Cu 0.3333 0.6667 0.6997
4 Cu 0.6667 0.3333 0.3003
5 Ge 0.3333 0.6667 0.2792
6 Ge 0.6667 0.3333 0.7208

Main lines, most intense first (2θ from 15° to 90°):
two_theta	intensity
33.13	100.0
41.73	46.0
23.73	25.3
54.28	24.7
70.72	22.4
64.25	16.5
52.87	10.1
76.17	7.7
46.52	7.2
84.48	5.6

Starting from a crystal structure in Alexandria, relaxed with PBE, the powder X-ray diffraction pattern of AcCuH3 was computed for a wavelength of 1.5418 Å.
Lines closer than 0.1° are merged.

Cell and atoms:
abc: 4.3593 4.3593 4.3593
angles: 69.98 69.98 69.98
Fractional coordinates of all 5 atoms:
1 Ac 0.0000 0.0000 0.0000
2 Cu 0.5373 0.5373 0.5373
3 H 0.3759 0.3759 0.9221
4 H 0.3759 0.9221 0.3759
5 H 0.9221 0.3759 0.3759

Main lines, most intense first (2θ from 15° to 90°):
two_theta	intensity
27.49	100.0
35.92	51.8
22.45	46.3
42.39	28.5
45.82	25.6
59.56	23.5
45.70	19.6
69.01	13.4
82.72	13.1
27.30	12.4

Starting from a crystal structure in Alexandria, relaxed with PBE, the powder X-ray diffraction pattern of AcMgCu2H8 was computed for a wavelength of 1.5418 Å.
Lines closer than 0.1° are merged.

Cell and atoms:
abc: 7.0694 7.0694 7.0694
angles: 38.79 38.79 38.79
Fractional coordinates of all 12 atoms:
1 Ac 0.0000 0.0000 0.0000
2 Mg 0.5000 0.5000 0.5000
3 Cu 0.2402 0.2402 0.2402
4 Cu 0.7598 0.7598 0.7598
5 H 0.1076 0.4289 0.7790
6 H 0.2210 0.8924 0.5711
7 H 0.3240 0.3240 0.3240
8 H 0.4289 0.7790 0.1076
9 H 0.5711 0.2210 0.8924
10 H 0.6760 0.6760 0.6760
11 H 0.7790 0.1076 0.4289
12 H 0.8924 0.5711 0.2210

Main lines, most intense first (2θ from 15° to 90°):
two_theta	intensity
28.53	100.0
22.33	50.2
38.34	46.6
43.13	30.6
31.72	28.7
48.48	23.3
63.44	20.5
40.85	16.2
57.77	13.8
70.24	13.6

Starting from a crystal structure in Alexandria, relaxed with PBE, the powder X-ray diffraction pattern of AcMnCuH6 was computed for a wavelength of 1.5418 Å.
Lines closer than 0.1° are merged.

Cell and atoms:
abc: 4.5987 4.5987 4.6827
angles: 90.00 90.00 120.00
Fractional coordinates of all 9 atoms:
1 Ac 0.0000 0.0000 0.0000
2 Mn 0.6667 0.3333 0.5000
3 Cu 0.3333 0.6667 0.5000
4 H 0.5082 0.0164 0.2613
5 H 0.5082 0.0164 0.7387
6 H 0.5082 0.4918 0.2613
7 H 0.5082 0.4918 0.7387
8 H 0.9836 0.4918 0.2613
9 H 0.9836 0.4918 0.7387

Main lines, most intense first (2θ from 15° to 90°):
two_theta	intensity
29.44	100.0
39.18	34.2
22.32	28.1
56.06	24.4
49.76	23.5
65.09	21.0
38.45	11.6
64.08	11.0
44.91	10.5
83.76	7.6

Starting from a crystal structure in Alexandria, relaxed with PBE, the powder X-ray diffraction pattern of Ac2CuH6Pd was computed for a wavelength of 1.5418 Å.
Lines closer than 0.1° are merged.

Cell and atoms:
abc: 5.4255 5.4255 5.5762
angles: 118.32 118.32 91.26
Fractional coordinates of all 10 atoms:
1 Ac 0.2499 0.7501 0.0000
2 Ac 0.7501 0.2499 0.0000
3 Cu 0.0040 0.0040 0.5071
4 H 0.2413 0.2413 0.9835
5 H 0.2617 0.7649 0.5256
6 H 0.2684 0.2684 0.5297
7 H 0.7606 0.7606 0.5256
8 H 0.7649 0.2617 0.5256
9 H 0.7945 0.7945 0.0872
10 Pd 0.4813 0.4813 0.4610

Main lines, most intense first (2θ from 15° to 90°):
two_theta	intensity
31.77	100.0
32.16	96.9
33.03	91.1
57.96	36.8
21.69	22.8
39.86	22.1
44.22	20.3
56.23	19.6
56.34	19.4
22.93	19.4

Starting from a crystal structure in Alexandria, relaxed with PBE, the powder X-ray diffraction pattern of AcCuH6Pd was computed for a wavelength of 1.5418 Å.
Lines closer than 0.1° are merged.

Cell and atoms:
abc: 4.6991 4.6991 4.7406
angles: 90.00 90.00 120.00
Fractional coordinates of all 9 atoms:
1 Ac 0.0000 0.0000 0.0000
2 Cu 0.3333 0.6667 0.5000
3 H 0.0097 0.5049 0.2590
4 H 0.0097 0.5049 0.7410
5 H 0.4951 0.5049 0.2590
6 H 0.4951 0.5049 0.7410
7 H 0.4951 0.9903 0.2590
8 H 0.4951 0.9903 0.7410
9 Pd 0.6667 0.3333 0.5000

Main lines, most intense first (2θ from 15° to 90°):
two_theta	intensity
28.92	100.0
38.31	38.3
55.03	27.4
48.70	24.0
63.60	21.7
21.84	17.2
37.96	12.7
63.11	11.1
88.76	9.1
89.19	9.0

Starting from a crystal structure in Alexandria, relaxed with PBE, the powder X-ray diffraction pattern of AcCu2SbH2 was computed for a wavelength of 1.5418 Å.
Lines closer than 0.1° are merged.

Cell and atoms:
abc: 7.0626 7.0626 4.9554
angles: 90.00 90.00 119.22
Fractional coordinates of all 12 atoms:
1 Ac 0.1550 0.8450 0.7500
2 Ac 0.8450 0.1550 0.2500
3 Cu 0.3186 0.3186 0.0000
4 Cu 0.3186 0.3186 0.5000
5 Cu 0.6814 0.6814 0.0000
6 Cu 0.6814 0.6814 0.5000
7 Sb 0.3345 0.6655 0.2500
8 Sb 0.6655 0.3345 0.7500
9 H 0.1256 0.2120 0.7500
10 H 0.2120 0.1256 0.2500
11 H 0.7880 0.8744 0.7500
12 H 0.8744 0.7880 0.2500

Main lines, most intense first (2θ from 15° to 90°):
two_theta	intensity
23.14	100.0
34.26	75.4
44.50	34.9
28.97	32.6
39.23	28.5
38.85	27.5
24.92	26.9
43.08	26.5
34.56	25.0
47.29	20.5